No. 1
For Mg7SnN6, the PBE geometry in the Materials Project gives the theoretical powder diffraction line list in this record (Cu Ka).
No peak broadening, texture or thermal motion is included.

Structure:
Lattice parameters (Å, degrees): 5.6134 10.6531 12.2105 90.00 90.00 90.00
Space group Ibam (No. 72)
One atom of each set of equivalent atoms:
Mg: 0.0000 0.0000 0.2500 x4
Mg: 0.0180 0.2520 0.1101 x16
Mg: 0.2424 0.0296 0.0000 x8
Sn: 0.0000 0.5000 0.2500 x4
N: 0.2249 0.1616 0.5000 x8
N: 0.2400 0.3896 0.3389 x16

Most intense lines, 2θ = 10–90°, in order of falling intensity:
| h k l | two_theta | I_rel |
| --- | --- | --- |
| 0 2 4 | 33.84 | 100 |
| 0 2 2 | 22.15 | 72 |
| 1 1 2 | 23.09 | 71 |
| 2 2 2 | 39.17 | 71 |
| 1 1 0 | 17.86 | 56 |
| 2 2 4 | 47.18 | 46 |
| 2 0 2 | 35.19 | 40 |
| 2 4 0 | 47.04 | 38 |
| 0 4 0 | 33.65 | 33 |
| 2 4 2 | 49.48 | 32 |

No. 2
For Ba2NdInTe5, the PBE geometry in the Materials Project gives the theoretical powder diffraction line list in this record (Cu Ka).
No peak broadening, texture or thermal motion is included.

Structure:
Lattice parameters (Å, degrees): 4.6342 20.6676 14.3969 90.00 90.00 90.00
Space group Cmc2_1 (No. 36)
One atom of each set of equivalent atoms:
Ba: 0.0000 0.1181 0.0000 x4
Ba: 0.0000 0.1286 0.3645 x4
Nd: 0.0000 0.2095 0.6636 x4
In: 0.0000 0.4437 0.2469 x4
Te: 0.0000 0.0475 0.6312 x4
Te: 0.0000 0.2923 0.0164 x4
Te: 0.0000 0.3121 0.3199 x4
Te: 0.0000 0.3583 0.6801 x4
Te: 0.0000 0.4963 0.9185 x4

Most intense lines, 2θ = 10–90°, in order of falling intensity:
| h k l | two_theta | I_rel |
| --- | --- | --- |
| 1 1 3 | 27.09 | 100 |
| 0 6 1 | 26.61 | 57 |
| 1 5 2 | 31.55 | 42 |
| 2 0 0 | 38.87 | 29 |
| 1 7 4 | 44.24 | 25 |
| 2 6 1 | 47.72 | 23 |
| 0 2 6 | 38.49 | 18 |
| 1 3 2 | 26.27 | 16 |
| 1 1 2 | 23.22 | 15 |
| 1 5 3 | 34.57 | 12 |

Number 1 is which compound?
Mg7SnN6